For CsScTe2, a structure optimized by DFT (PBE) gives the computed X-ray diffraction stick pattern in this record (a wavelength of 1.5418 Å).

Structural model:
a b c (Å): 4.3587 4.3587 9.2396
angles (deg): 103.64 103.64 60.05
Element x y z (fractional)
Cs (0.0000, 0.0000, 0.0000)
Sc (0.8331, 0.8331, 0.4956)
Te (0.2267, 0.2267, 0.6766)
Te (0.4396, 0.4396, 0.3160)

Main lines, in order of rising 2θ (15° ≤ 2θ ≤ 90°):
| 2θ (°) | I/Imax |
| --- | --- |
| 23.80 | 23.4 |
| 24.50 | 15.0 |
| 27.14 | 58.9 |
| 28.97 | 100.0 |
| 30.16 | 22.5 |
| 33.41 | 12.4 |
| 41.43 | 63.9 |
| 50.64 | 13.9 |
| 51.34 | 20.4 |
| 52.08 | 29.3 |
| 68.00 | 18.3 |
| 75.55 | 13.2 |